Record 1
Theoretical powder diffractogram of K3CeI7 for Cu Ka, from a structure optimized by DFT (PBE).
Intensities are scaled so that the largest is 100.

Largest 10 diffraction maxima, low angle first, 5 to 70 degrees two-theta:
2theta	I/Imax
11.82	78
12.46	37
14.32	42
21.30	100
25.21	33
28.64	37
28.86	52
30.18	60
31.13	99
31.59	39

Structure:
```
11
Lattice="6.214 -5.665 0.000 6.214 5.665 0.000 -5.511 0.000 7.464" Properties=species:S:1:pos:R:3 pbc="T T T"
K 0.000 0.000 0.000
K 3.050 2.496 4.426
K 3.050 -2.496 4.426
Ce 6.160 0.000 1.119
I -0.100 1.984 6.243
I 3.160 0.000 1.886
I 6.045 2.922 2.356
I -0.100 -1.984 6.243
I 3.421 0.000 7.197
I 7.939 0.000 3.939
I 6.045 -2.922 2.356
```

---

Record 2
Theoretical powder diffractogram of Ac3Dy3Y2 for Cu Ka, from a structure optimized by DFT (PBE).
Intensities are scaled so that the largest is 100.

Largest 10 diffraction maxima, low angle first, 5 to 70 degrees two-theta:
2theta	I/Imax
26.03	24
27.08	21
30.12	100
30.79	12
31.62	31
39.56	10
48.54	27
49.62	14
56.52	12
59.54	13

Structure:
```
16
Lattice="10.058 0.000 0.000 -5.029 8.711 0.000 0.000 0.000 6.846" Properties=species:S:1:pos:R:3 pbc="T T T"
Ac -1.202 2.083 1.711
Ac -3.827 6.628 5.134
Ac 2.405 0.000 1.711
Ac 1.202 2.083 5.134
Ac 7.654 0.000 5.134
Ac 3.827 6.628 1.711
Dy -2.077 3.597 5.134
Dy -2.952 5.113 1.711
Dy 4.154 0.000 5.134
Dy 2.077 3.597 1.711
Dy 5.905 0.000 1.711
Dy 2.952 5.113 5.134
Y 0.000 5.807 0.000
Y 0.000 5.807 3.423
Y 5.029 2.904 0.000
Y 5.029 2.904 3.423
```

---

Record 3
Theoretical powder diffractogram of Ce2Ho6Tm for Cu Ka, from a structure optimized by DFT (PBE).
Intensities are scaled so that the largest is 100.

Largest 8 diffraction maxima, low angle first, 5 to 70 degrees two-theta:
2theta	I/Imax
31.17	100
36.11	34
36.22	17
52.02	24
52.10	12
61.88	28
62.03	14
65.01	12

Structure:
```
9
Lattice="0.000 7.440 7.467 2.486 0.000 7.467 2.486 7.440 0.000" Properties=species:S:1:pos:R:3 pbc="T T T"
Ce 2.486 2.519 7.467
Ce 2.486 12.360 7.467
Ho 2.486 7.440 2.468
Ho 2.486 4.964 5.003
Ho 2.486 4.964 9.932
Ho 2.486 9.915 5.003
Ho 2.486 9.915 9.932
Ho 2.486 7.440 12.467
Tm 2.486 7.440 7.467
```

---

Record 4
Theoretical powder diffractogram of ScS for Cu Ka, from a structure optimized by DFT (PBE).
Intensities are scaled so that the largest is 100.

Largest 10 diffraction maxima, low angle first, 5 to 70 degrees two-theta:
2theta	I/Imax
26.87	19
29.26	20
34.08	57
39.81	100
45.51	42
53.12	27
59.38	17
60.51	3
61.80	8
64.63	15

Structure:
```
8
Lattice="3.448 0.000 0.000 0.000 3.448 0.000 0.000 0.000 12.210" Properties=species:S:1:pos:R:3 pbc="T T T"
Sc 0.000 0.000 0.000
Sc 0.000 1.724 3.053
Sc 1.724 0.000 9.158
Sc 1.724 1.724 6.105
S 0.000 0.000 5.062
S 0.000 1.724 8.114
S 1.724 0.000 2.009
S 1.724 1.724 11.167
```